For LaDyAsO, a DFT-relaxed cell (GGA-PBE, OQMD) gives the calculated powder XRD pattern in this record (Cu Kα).

Top 10 peaks for 2θ from 10° to 80°, sorted by position:
| 2theta | I/Imax | (hkl) |
| --- | --- | --- |
| 23.4 | 90 | 1 1 0 |
| 27.5 | 100 | 0 2 1 |
| 28.6 | 71 | 0 0 2 |
| 31.1 | 39 | 1 2 0 |
| 34.4 | 29 | 1 2 1 |
| 37.3 | 54 | 1 1 2 |
| 41.1 | 34 | 1 3 0 |
| 41.3 | 37 | 2 0 0 |
| 42.8 | 29 | 1 2 2 |
| 51.0 | 28 | 2 0 2 |

Crystal structure
```
LaDyAsO
1.0
4.375 0.000 0.000
0.000 7.624 0.000
0.000 0.000 6.233
La Dy As O
2 2 2 2
Cartesian
0.000 1.569 0.000
0.000 6.055 3.116
2.188 2.986 3.627
2.188 4.638 0.511
0.000 1.389 3.065
0.000 6.235 6.181
2.188 2.604 5.820
2.188 5.020 2.704
```